(1)
LiLaBi3: simulated powder diffraction line list (Cu Kα X-rays), based on a DFT-relaxed cell (PBE, Alexandria).

Largest 10 diffraction maxima, by angle, 10 to 80 degrees two-theta:
two_theta, intensity
25.18, 261
27.09, 317
27.65, 384
29.78, 433
30.73, 1000
31.63, 288
33.03, 401
39.73, 457
47.16, 355
64.76, 270

Atomic structure:
```
LiLaBi3
1.0
14.1443 0.0000 0.0000
0.0000 6.3842 0.0000
0.0000 0.0000 6.6263
Li La Bi
4 4 12
Direct
0.1087 0.2500 0.0000 Li
0.1087 0.2500 0.5000 Li
0.8913 0.7500 0.0000 Li
0.8913 0.7500 0.5000 Li
0.3123 0.5111 0.2500 La
0.3123 0.9889 0.7500 La
0.6877 0.0111 0.2500 La
0.6877 0.4889 0.7500 La
0.0744 0.7058 0.2500 Bi
0.0744 0.7942 0.7500 Bi
0.2506 0.0054 0.2500 Bi
0.2506 0.4946 0.7500 Bi
0.4960 0.2500 0.0000 Bi
0.4960 0.2500 0.5000 Bi
0.5040 0.7500 0.0000 Bi
0.5040 0.7500 0.5000 Bi
0.7494 0.5054 0.2500 Bi
0.7494 0.9946 0.7500 Bi
0.9256 0.2058 0.2500 Bi
0.9256 0.2942 0.7500 Bi
```

(2)
Dy2MnZn12Cu3: simulated powder diffraction line list (Cu Kα X-rays), based on a DFT-relaxed cell (PBE, Alexandria).

Largest 10 diffraction maxima, by angle, 10 to 80 degrees two-theta:
two_theta, intensity
31.22, 568
33.30, 323
33.56, 570
36.06, 292
39.28, 713
39.93, 398
43.13, 1000
45.83, 208
57.08, 201
68.51, 380

Atomic structure:
```
Dy2MnZn12Cu3
1.0
2.7390 1.5814 11.9801
-2.7390 1.5814 11.9801
0.0000 -3.1628 11.9801
Dy Mn Zn Cu
2 1 12 3
Direct
0.1447 0.1447 0.1447 Dy
0.8553 0.8553 0.8553 Dy
0.5000 0.5000 0.5000 Mn
0.1055 0.1055 0.6297 Zn
0.1055 0.6297 0.1055 Zn
0.1119 0.6109 0.6109 Zn
0.3703 0.8945 0.8945 Zn
0.3891 0.3891 0.8881 Zn
0.3891 0.8881 0.3891 Zn
0.6109 0.1119 0.6109 Zn
0.6109 0.6109 0.1119 Zn
0.6297 0.1055 0.1055 Zn
0.8881 0.3891 0.3891 Zn
0.8945 0.3703 0.8945 Zn
0.8945 0.8945 0.3703 Zn
0.0000 0.5000 0.5000 Cu
0.5000 0.0000 0.5000 Cu
0.5000 0.5000 0.0000 Cu
```

(3)
Na2CdSbO4: simulated powder diffraction line list (Cu Kα X-rays), based on a DFT-relaxed cell (PBE, Alexandria).

Largest 10 diffraction maxima, by angle, 10 to 80 degrees two-theta:
two_theta, intensity
16.07, 1000
30.99, 159
31.09, 322
32.47, 848
37.56, 337
37.73, 676
54.29, 415
54.42, 209
64.82, 260
67.98, 145

Atomic structure:
```
Na2CdSbO4
1.0
5.8529 -3.3720 0.0000
5.8529 3.3720 0.0000
-3.8761 0.0000 5.5192
Na Cd Sb O
4 2 2 8
Direct
0.0000 0.0000 0.0000 Na
0.0000 0.0000 0.5000 Na
0.0000 0.5000 0.0000 Na
0.5000 0.0000 0.0000 Na
0.0000 0.5000 0.5000 Cd
0.5000 0.0000 0.5000 Cd
0.5000 0.5000 0.0000 Sb
0.5000 0.5000 0.5000 Sb
0.2672 0.2672 0.7489 O
0.2856 0.7125 0.2766 O
0.2871 0.2871 0.2902 O
0.2875 0.7144 0.7234 O
0.7125 0.2856 0.2766 O
0.7129 0.7129 0.7098 O
0.7144 0.2875 0.7234 O
0.7328 0.7328 0.2511 O
```

(4)
KPaS3Cl: simulated powder diffraction line list (Cu Kα X-rays), based on a DFT-relaxed cell (PBE, Alexandria).

Largest 10 diffraction maxima, by angle, 10 to 80 degrees two-theta:
two_theta, intensity
14.15, 248
18.13, 1000
19.62, 577
26.66, 577
26.82, 504
27.53, 466
36.74, 318
37.01, 254
41.75, 247
47.83, 286

Atomic structure:
```
KPaS3Cl
1.0
3.6774 -9.2673 0.0000
3.6774 9.2673 0.0000
-2.2842 0.0000 4.8288
K Pa S Cl
2 2 6 2
Direct
0.0571 0.9429 0.7500 K
0.9429 0.0571 0.2500 K
0.3088 0.6912 0.7500 Pa
0.6912 0.3088 0.2500 Pa
0.0719 0.6879 0.4181 S
0.3121 0.9281 0.0819 S
0.4738 0.5262 0.7500 S
0.5262 0.4738 0.2500 S
0.6879 0.0719 0.9181 S
0.9281 0.3121 0.5819 S
0.3521 0.6479 0.2500 Cl
0.6479 0.3521 0.7500 Cl
```